No. 1
Structure and simulated X-ray powder pattern of Tm5Ir2Pb4 (the PBE geometry in Alexandria; Cu Ka).
Neutral-atom scattering factors, no anomalous dispersion.

Principal peaks in the range 2θ = 10–80°, low angle first:
2.843 Å, 2θ = 31.47°, I 358
2.687 Å, 2θ = 33.34°, I 1000
2.617 Å, 2θ = 34.27°, I 440
2.608 Å, 2θ = 34.38°, I 930
2.484 Å, 2θ = 36.17°, I 273
2.476 Å, 2θ = 36.28°, I 347
2.455 Å, 2θ = 36.60°, I 396
1.821 Å, 2θ = 50.09°, I 286

Structural model:
a = 8.1972 Å, b = 18.1844 Å, c = 3.6422 Å
α = 90.00°, β = 90.00°, γ = 90.00°
Fractional coordinates of all 22 atoms:
Tm 0.0000 0.0000 0.0000
Tm 0.1082 0.4094 0.0000
Tm 0.2363 0.2201 0.0000
Tm 0.2637 0.7201 0.0000
Tm 0.3918 0.9094 0.0000
Tm 0.5000 0.5000 0.0000
Tm 0.6082 0.0906 0.0000
Tm 0.7363 0.2799 0.0000
Tm 0.7637 0.7799 0.0000
Tm 0.8918 0.5906 0.0000
Ir 0.0179 0.3035 0.5000
Ir 0.4821 0.8035 0.5000
Ir 0.5179 0.1965 0.5000
Ir 0.9821 0.6965 0.5000
Pb 0.0889 0.8506 0.5000
Pb 0.2072 0.5631 0.5000
Pb 0.2928 0.0631 0.5000
Pb 0.4111 0.3506 0.5000
Pb 0.5889 0.6494 0.5000
Pb 0.7072 0.9369 0.5000
Pb 0.7928 0.4369 0.5000
Pb 0.9111 0.1494 0.5000

No. 2
Structure and simulated X-ray powder pattern of Sr3Zn2Rh (the PBE geometry in Alexandria; Cu Ka).
Neutral-atom scattering factors, no anomalous dispersion.

Principal peaks in the range 2θ = 10–80°, low angle first:
3.170 Å, 2θ = 28.15°, I 283
3.095 Å, 2θ = 28.84°, I 1000
2.769 Å, 2θ = 32.33°, I 487
2.533 Å, 2θ = 35.44°, I 363
2.424 Å, 2θ = 37.09°, I 350
2.412 Å, 2θ = 37.29°, I 284
2.208 Å, 2θ = 40.87°, I 441
1.967 Å, 2θ = 46.16°, I 279

Structural model:
a = 12.7295 Å, b = 4.4160 Å, c = 13.0291 Å
α = 90.00°, β = 90.00°, γ = 90.00°
Fractional coordinates of all 24 atoms:
Sr 0.0599 0.2500 0.1268
Sr 0.1126 0.7500 0.5507
Sr 0.2167 0.2500 0.7943
Sr 0.2833 0.7500 0.2943
Sr 0.3874 0.2500 0.0507
Sr 0.4401 0.7500 0.6268
Sr 0.5599 0.2500 0.3732
Sr 0.6126 0.7500 0.9493
Sr 0.7167 0.2500 0.7057
Sr 0.7833 0.7500 0.2057
Sr 0.8874 0.2500 0.4493
Sr 0.9401 0.7500 0.8732
Zn 0.0345 0.7500 0.3162
Zn 0.2068 0.7500 0.9817
Zn 0.2932 0.2500 0.4817
Zn 0.4655 0.2500 0.8162
Zn 0.5345 0.7500 0.1838
Zn 0.7068 0.7500 0.5183
Zn 0.7932 0.2500 0.0183
Zn 0.9655 0.2500 0.6838
Rh 0.1266 0.2500 0.3680
Rh 0.3734 0.7500 0.8680
Rh 0.6266 0.2500 0.1320
Rh 0.8734 0.7500 0.6320

No. 3
Structure and simulated X-ray powder pattern of Pm3ZnPt2 (the PBE geometry in Alexandria; Cu Ka).
Neutral-atom scattering factors, no anomalous dispersion.

Principal peaks in the range 2θ = 10–80°, low angle first:
4.286 Å, 2θ = 20.73°, I 394
2.950 Å, 2θ = 30.30°, I 808
2.855 Å, 2θ = 31.33°, I 675
2.780 Å, 2θ = 32.20°, I 571
2.592 Å, 2θ = 34.60°, I 1000
2.390 Å, 2θ = 37.64°, I 610
2.073 Å, 2θ = 43.67°, I 551
2.030 Å, 2θ = 44.64°, I 594

Structural model:
a = 12.1963 Å, b = 4.0594 Å, c = 12.0488 Å
α = 90.00°, β = 90.00°, γ = 90.00°
Fractional coordinates of all 24 atoms:
Pm 0.0521 0.2500 0.1268
Pm 0.1317 0.7500 0.5728
Pm 0.2068 0.2500 0.8208
Pm 0.2932 0.7500 0.3208
Pm 0.3683 0.2500 0.0728
Pm 0.4479 0.7500 0.6268
Pm 0.5521 0.2500 0.3732
Pm 0.6317 0.7500 0.9272
Pm 0.7068 0.2500 0.6792
Pm 0.7932 0.7500 0.1792
Pm 0.8683 0.2500 0.4272
Pm 0.9479 0.7500 0.8732
Zn 0.1198 0.2500 0.3777
Zn 0.3802 0.7500 0.8777
Zn 0.6198 0.2500 0.1223
Zn 0.8802 0.7500 0.6223
Pt 0.0040 0.7500 0.3086
Pt 0.1850 0.7500 0.9941
Pt 0.3150 0.2500 0.4941
Pt 0.4960 0.2500 0.8086
Pt 0.5040 0.7500 0.1914
Pt 0.6850 0.7500 0.5059
Pt 0.8150 0.2500 0.0059
Pt 0.9960 0.2500 0.6914

No. 4
Structure and simulated X-ray powder pattern of SrU3Tl4O12 (the PBE geometry in Alexandria; Cu Ka).
Neutral-atom scattering factors, no anomalous dispersion.

Principal peaks in the range 2θ = 10–80°, low angle first:
6.248 Å, 2θ = 14.17°, I 50
3.607 Å, 2θ = 24.68°, I 28
3.124 Å, 2θ = 28.57°, I 1000
2.209 Å, 2θ = 40.85°, I 265
1.804 Å, 2θ = 50.61°, I 428
1.562 Å, 2θ = 59.14°, I 175
1.397 Å, 2θ = 66.98°, I 196
1.275 Å, 2θ = 74.38°, I 59

Structural model:
a = 7.6526 Å, b = 7.6526 Å, c = 7.6526 Å
α = 109.47°, β = 109.47°, γ = 109.47°
Fractional coordinates of all 20 atoms:
Sr 0.0000 0.0000 0.0000
U 0.0000 0.5000 0.5000
U 0.5000 0.0000 0.5000
U 0.5000 0.5000 0.0000
Tl 0.0000 0.0000 0.5000
Tl 0.0000 0.5000 0.0000
Tl 0.5000 0.0000 0.0000
Tl 0.5000 0.5000 0.5000
O 0.0000 0.2798 0.2798
O 0.0000 0.7202 0.7202
O 0.2500 0.5000 0.7500
O 0.2500 0.7500 0.5000
O 0.2798 0.0000 0.2798
O 0.2798 0.2798 0.0000
O 0.5000 0.2500 0.7500
O 0.5000 0.7500 0.2500
O 0.7202 0.0000 0.7202
O 0.7202 0.7202 0.0000
O 0.7500 0.2500 0.5000
O 0.7500 0.5000 0.2500